Entry 1:
K2Ba2PtO6: calculated powder X-ray diffraction pattern (CuKα), based on a PBE-relaxed structure.
Intensities are scaled so that the largest is 100.

Cell and atoms:
Cell: 6.5315 10.9688 6.5912 Å, 90.00 103.48 90.00°
Space group C2/m (No. 12)
Symmetry-distinct sites (fractional):
K 0.0000 0.1443 0.0000 (multiplicity 4)
Ba 0.0000 0.3383 0.5000 (multiplicity 4)
Pt 0.0000 0.0000 0.5000 (multiplicity 2)
O 0.1716 0.1326 0.6732 (multiplicity 8)
O 0.2053 0.0000 0.3118 (multiplicity 4)

Top 12 peaks for 5° ≤ 2θ ≤ 70°, in order of rising 2θ:
| 2theta | intensity | hkl |
| --- | --- | --- |
| 13.82 | 100 | 0 0 1 |
| 16.13 | 18 | 1 1 0 |
| 27.84 | 25 | 0 0 2 |
| 28.13 | 52 | 2 0 0 |
| 28.30 | 15 | 2 0 -1 |
| 29.97 | 37 | 1 3 -1 |
| 32.96 | 50 | 1 3 1 |
| 34.83 | 23 | 2 0 -2 |
| 42.37 | 17 | 1 3 2 |
| 48.54 | 15 | 1 3 -3 |
| 48.87 | 15 | 3 3 -1 |
| 58.10 | 14 | 4 0 0 |

Entry 2:
K4EuP2S8: calculated powder X-ray diffraction pattern (CuKα), based on a PBE-relaxed structure.
Intensities are scaled so that the largest is 100.

Cell and atoms:
Cell: 8.8959 18.5591 9.8033 Å, 90.00 90.00 90.00°
Space group Ibam (No. 72)
Symmetry-distinct sites (fractional):
K 0.0000 0.2384 0.2500 (multiplicity 8)
K 0.1219 0.4171 0.0000 (multiplicity 8)
Eu 0.0000 0.0000 0.2500 (multiplicity 4)
P 0.2041 0.1260 0.0000 (multiplicity 8)
S 0.0248 0.1044 0.5000 (multiplicity 8)
S 0.2065 0.4225 0.3305 (multiplicity 16)
S 0.2471 0.2344 0.0000 (multiplicity 8)

Top 12 peaks for 5° ≤ 2θ ≤ 70°, in order of rising 2θ:
| 2theta | intensity | hkl |
| --- | --- | --- |
| 9.53 | 66 | 0 2 0 |
| 11.03 | 100 | 1 1 0 |
| 21.24 | 36 | 1 1 2 |
| 25.25 | 46 | 1 3 2 |
| 26.45 | 66 | 0 4 2 |
| 27.07 | 34 | 2 0 2 |
| 30.53 | 46 | 3 1 0 |
| 31.87 | 43 | 1 5 2 |
| 33.36 | 78 | 2 4 2 |
| 36.67 | 30 | 0 0 4 |
| 38.39 | 26 | 1 1 4 |
| 47.96 | 28 | 2 8 2 |

Entry 3:
Ac3Al2Ge2: calculated powder X-ray diffraction pattern (CuKα), based on a PBE-relaxed structure.
Intensities are scaled so that the largest is 100.

Cell and atoms:
Cell: 4.2723 4.7552 19.8409 Å, 90.00 90.00 90.00°
Space group Immm (No. 71)
Symmetry-distinct sites (fractional):
Ac 0.0000 0.0000 0.0000 (multiplicity 2)
Ac 0.0000 0.5000 0.3149 (multiplicity 4)
Al 0.0000 0.0000 0.4347 (multiplicity 4)
Ge 0.0000 0.5000 0.1402 (multiplicity 4)

Top 12 peaks for 5° ≤ 2θ ≤ 70°, in order of rising 2θ:
| 2theta | intensity | hkl |
| --- | --- | --- |
| 19.19 | 24 | 0 1 1 |
| 24.81 | 51 | 1 0 3 |
| 26.96 | 32 | 0 0 6 |
| 29.31 | 69 | 0 1 5 |
| 29.51 | 100 | 1 1 2 |
| 33.49 | 31 | 1 1 4 |
| 37.84 | 28 | 0 2 0 |
| 38.10 | 22 | 1 0 7 |
| 42.31 | 21 | 2 0 0 |
| 45.77 | 24 | 1 2 3 |
| 46.44 | 21 | 1 1 8 |
| 52.30 | 28 | 2 1 5 |

Entry 4:
Tb6Pm4Sm: calculated powder X-ray diffraction pattern (CuKα), based on a PBE-relaxed structure.
Intensities are scaled so that the largest is 100.

Cell and atoms:
Cell: 7.7027 7.7027 13.1591 Å, 90.00 90.00 90.00°
Space group I-42m (No. 121)
Symmetry-distinct sites (fractional):
Tb 0.0000 0.5000 0.0000 (multiplicity 4)
Tb 0.2418 0.2418 0.1857 (multiplicity 8)
Pm 0.1727 0.1727 0.4236 (multiplicity 8)
Sm 0.0000 0.0000 0.0000 (multiplicity 2)

Top 12 peaks for 5° ≤ 2θ ≤ 70°, in order of rising 2θ:
| 2theta | intensity | hkl |
| --- | --- | --- |
| 13.46 | 22 | 0 0 2 |
| 23.09 | 23 | 2 0 0 |
| 26.80 | 100 | 2 0 2 |
| 31.78 | 96 | 1 1 4 |
| 32.89 | 61 | 2 2 0 |
| 33.06 | 30 | 2 1 3 |
| 35.64 | 32 | 3 0 1 |
| 35.90 | 22 | 2 0 4 |
| 39.45 | 24 | 3 1 2 |
| 46.38 | 27 | 3 1 4 |
| 55.12 | 36 | 4 2 2 |
| 61.28 | 23 | 2 0 8 |